Calculated X-ray diffraction stick pattern
Compound: NaSmZn17
Radiation: Cu Kα (λ = 1.5418 Å)
Structure: a DFT-relaxed cell (PBE, Alexandria)
No peak broadening, texture or thermal motion is included.

Top 10 peaks for 10° ≤ 2θ ≤ 80°, in order of falling intensity:
2θ/deg, I_rel
40.2, 100
45.1, 66
39.9, 61
40.9, 51
34.4, 34
35.5, 28
74.0, 25
13.1, 24
41.2, 23
72.5, 22

Structural model:
```
NaSmZn17
1.0
4.5189 2.6090 4.4121
-4.5189 2.6090 4.4121
0.0000 -5.2180 4.4121
Na Sm Zn
1 1 17
direct
0.0000 0.0000 0.0000
0.6782 0.6782 0.6782
0.0453 0.3393 0.6410
0.0453 0.6410 0.3393
0.1804 0.6925 0.6925
0.2398 0.2398 0.2398
0.3393 0.0453 0.6410
0.3393 0.6410 0.0453
0.3458 0.3458 0.8389
0.3458 0.8389 0.3458
0.4405 0.4405 0.4405
0.5024 0.9905 0.9905
0.6410 0.0453 0.3393
0.6410 0.3393 0.0453
0.6925 0.1804 0.6925
0.6925 0.6925 0.1804
0.8389 0.3458 0.3458
0.9905 0.5024 0.9905
0.9905 0.9905 0.5024
```